Record 1
The following is a computed powder XRD pattern of Ti3H4O8. It was derived from a GGA-PBE-relaxed structure, using Cu Kα (λ = 1.5418 Å).
Intensities are scaled so that the largest is 100.

Structure:
```
data_Ti3H4O8
_chemical_formula_sum 'Ti12 H16 O32'
_space_group_name_H-M_alt 'C 1 2/m 1'
_space_group_IT_number 12
_cell_length_a 26.306
_cell_length_b 2.946
_cell_length_c 11.600
_cell_angle_alpha 90.00
_cell_angle_beta 110.54
_cell_angle_gamma 90.00
loop_
_space_group_symop_operation_xyz
'x,y,z'
'-x,-y,-z'
'-x,y,-z'
'x,-y,z'
'x+1/2,y+1/2,z'
'-x+1/2,-y+1/2,-z'
'-x+1/2,y+1/2,-z'
'x+1/2,-y+1/2,z'
loop_
_atom_site_label
_atom_site_type_symbol
_atom_site_fract_x
_atom_site_fract_y
_atom_site_fract_z
Ti1 Ti 0.125 0.000 0.369
Ti2 Ti 0.175 0.000 0.959
Ti3 Ti 0.209 0.000 0.696
H1 H 0.017 0.000 0.343
H2 H 0.043 0.500 0.617
H3 H 0.084 0.000 0.698
H4 H 0.099 0.500 0.978
O1 O 0.047 0.000 0.634
O2 O 0.055 0.000 0.347
O3 O 0.108 0.000 0.973
O4 O 0.143 0.500 0.301
O5 O 0.165 0.000 0.538
O6 O 0.165 0.000 0.794
O7 O 0.211 0.500 0.037
O8 O 0.249 0.000 0.276
```

The 10 most intense peaks (10 to 80 degrees two-theta), in order of rising 2θ:
d = 6.408 Å, intensity 48
d = 6.158 Å, intensity 32
d = 5.773 Å, intensity 32
d = 4.429 Å, intensity 31
d = 4.024 Å, intensity 77
d = 3.621 Å, intensity 100
d = 3.460 Å, intensity 37
d = 2.925 Å, intensity 50
d = 2.772 Å, intensity 39
d = 1.649 Å, intensity 23

***

Record 2
The following is a computed powder XRD pattern of Ti6H2O13. It was derived from a GGA-PBE-relaxed structure, using Cu Kα (λ = 1.5418 Å).
Intensities are scaled so that the largest is 100.

Structure:
```
data_Ti6H2O13
_chemical_formula_sum 'Ti12 H4 O26'
_space_group_name_H-M_alt 'C 1 2/m 1'
_space_group_IT_number 12
_cell_length_a 14.914
_cell_length_b 3.770
_cell_length_c 9.385
_cell_angle_alpha 90.00
_cell_angle_beta 97.62
_cell_angle_gamma 90.00
loop_
_space_group_symop_operation_xyz
'x,y,z'
'-x,-y,-z'
'-x,y,-z'
'x,-y,z'
'x+1/2,y+1/2,z'
'-x+1/2,-y+1/2,-z'
'-x+1/2,y+1/2,-z'
'x+1/2,-y+1/2,z'
loop_
_atom_site_label
_atom_site_type_symbol
_atom_site_fract_x
_atom_site_fract_y
_atom_site_fract_z
Ti1 Ti 0.115 0.000 0.092
Ti2 Ti 0.166 0.000 0.448
Ti3 Ti 0.229 0.000 0.773
H1 H 0.000 0.000 0.313
O1 O 0.000 0.000 0.000
O2 O 0.064 0.000 0.302
O3 O 0.125 0.000 0.618
O4 O 0.142 0.500 0.125
O5 O 0.170 0.000 0.924
O6 O 0.203 0.500 0.434
O7 O 0.237 0.000 0.249
```

The 10 most intense peaks (10 to 80 degrees two-theta), in order of rising 2θ:
d = 7.391 Å, intensity 100
d = 6.201 Å, intensity 40
d = 3.653 Å, intensity 48
d = 3.005 Å, intensity 25
d = 2.994 Å, intensity 19
d = 2.920 Å, intensity 15
d = 2.723 Å, intensity 20
d = 2.098 Å, intensity 18
d = 2.067 Å, intensity 19
d = 1.885 Å, intensity 20

***

Record 3
The following is a computed powder XRD pattern of UH8O8. It was derived from a GGA-PBE-relaxed structure, using Cu Kα (λ = 1.5418 Å).
Intensities are scaled so that the largest is 100.

Structure:
```
data_UH8O8
_chemical_formula_sum 'U4 H32 O32'
_space_group_name_H-M_alt 'C 1 2/c 1'
_space_group_IT_number 15
_cell_length_a 14.175
_cell_length_b 6.839
_cell_length_c 8.586
_cell_angle_alpha 90.00
_cell_angle_beta 122.72
_cell_angle_gamma 90.00
loop_
_space_group_symop_operation_xyz
'x,y,z'
'-x,-y,-z'
'-x,y,-z+1/2'
'x,-y,z+1/2'
'x+1/2,y+1/2,z'
'-x+1/2,-y+1/2,-z'
'-x+1/2,y+1/2,-z+1/2'
'x+1/2,-y+1/2,z+1/2'
loop_
_atom_site_label
_atom_site_type_symbol
_atom_site_fract_x
_atom_site_fract_y
_atom_site_fract_z
U1 U 0.000 0.000 0.000
H1 H 0.104 0.431 0.429
H2 H 0.117 0.344 0.899
H3 H 0.247 0.474 0.179
H4 H 0.247 0.500 0.365
O1 O 0.003 0.253 0.433
O2 O 0.061 0.113 0.806
O3 O 0.160 0.468 0.950
O4 O 0.204 0.005 0.684
```

The 10 most intense peaks (10 to 80 degrees two-theta), in order of rising 2θ:
d = 5.942 Å, intensity 100
d = 4.280 Å, intensity 13
d = 3.612 Å, intensity 10
d = 3.536 Å, intensity 18
d = 3.437 Å, intensity 20
d = 3.413 Å, intensity 30
d = 2.981 Å, intensity 7
d = 2.672 Å, intensity 7
d = 2.250 Å, intensity 10
d = 2.039 Å, intensity 10

***

Record 4
The following is a computed powder XRD pattern of UH4O6. It was derived from a GGA-PBE-relaxed structure, using Cu Kα (λ = 1.5418 Å).
Intensities are scaled so that the largest is 100.

Structure:
```
data_UH4O6
_chemical_formula_sum 'U4 H16 O24'
_space_group_name_H-M_alt 'P n m a'
_space_group_IT_number 62
_cell_length_a 8.481
_cell_length_b 8.874
_cell_length_c 6.717
_cell_angle_alpha 90.00
_cell_angle_beta 90.00
_cell_angle_gamma 90.00
loop_
_space_group_symop_operation_xyz
'x,y,z'
'-x,-y,-z'
'-x+1/2,-y,z+1/2'
'x+1/2,y,-z+1/2'
'x+1/2,-y+1/2,-z+1/2'
'-x+1/2,y+1/2,z+1/2'
'-x,y+1/2,-z'
'x,-y+1/2,z'
loop_
_atom_site_label
_atom_site_type_symbol
_atom_site_fract_x
_atom_site_fract_y
_atom_site_fract_z
U1 U 0.151 0.250 0.248
H1 H 0.128 0.583 0.113
H2 H 0.189 0.597 0.337
O1 O 0.082 0.250 0.502
O2 O 0.100 0.668 0.879
O3 O 0.151 0.525 0.237
O4 O 0.226 0.250 0.990
```

The 10 most intense peaks (10 to 80 degrees two-theta), in order of rising 2θ:
d = 5.356 Å, intensity 100
d = 4.437 Å, intensity 34
d = 3.826 Å, intensity 31
d = 3.586 Å, intensity 36
d = 3.359 Å, intensity 15
d = 2.789 Å, intensity 21
d = 2.707 Å, intensity 20
d = 2.524 Å, intensity 20
d = 2.426 Å, intensity 16
d = 1.887 Å, intensity 14